(1)
This entry pairs a crystal structure of DyAlB4 with its computed powder XRD pattern. Radiation: CuKα. Structure: a crystal structure in Alexandria, relaxed with GGA-PBE.
Peak positions follow from Bragg's law for the DFT cell and can differ from measured ones.

Top 12 peaks for 2θ = 15–90°, in order of rising 2θ:
2theta  I_rel  h k l
16.75  26  1 1 0
21.44  52  1 2 0
24.97  56  0 0 1
27.60  35  1 3 0
31.00  77  0 4 0
33.14  44  1 2 1
37.55  40  1 3 1
40.21  100  0 4 1
43.09  19  1 4 1
49.98  20  2 5 0
56.66  21  2 5 1
61.10  23  0 4 2

Structural model:
Unit cell a=5.957 b=11.543 c=3.566 alpha=90.00 beta=90.00 gamma=90.00
Space group Pbam (No. 55)
One atom of each set of equivalent atoms:
Dy  0.129  0.150  0.000 [4 per cell]
Al  0.138  0.410  0.000 [4 per cell]
B  0.027  0.692  0.500 [4 per cell]
B  0.114  0.547  0.500 [4 per cell]
B  0.134  0.969  0.500 [4 per cell]
B  0.211  0.813  0.500 [4 per cell]

---

(2)
This entry pairs a crystal structure of Sm3Tm2Ag2 with its computed powder XRD pattern. Radiation: CuKα. Structure: a crystal structure in Alexandria, relaxed with GGA-PBE.
Peak positions follow from Bragg's law for the DFT cell and can differ from measured ones.

Top 12 peaks for 2θ = 15–90°, in order of rising 2θ:
2theta  I_rel  h k l
29.18  32  2 0 -3
30.98  68  1 1 -2
31.16  60  2 0 2
31.71  100  3 1 -1
33.18  54  3 1 0
33.67  57  4 0 -3
33.89  34  3 1 -2
35.30  49  1 1 2
38.57  32  1 1 -3
49.00  31  0 2 0
50.86  25  5 1 1
55.78  28  3 1 -5

Structural model:
Unit cell a=13.018 b=3.718 c=9.192 alpha=90.00 beta=115.18 gamma=90.00
Space group C2/m (No. 12)
One atom of each set of equivalent atoms:
Sm  0.000  0.000  0.000 [2 per cell]
Sm  0.109  0.000  0.445 [4 per cell]
Tm  0.147  0.500  0.813 [4 per cell]
Ag  0.179  0.500  0.221 [4 per cell]

---

(3)
This entry pairs a crystal structure of Na4Ga3Pt2 with its computed powder XRD pattern. Radiation: CuKα. Structure: a crystal structure in Alexandria, relaxed with GGA-PBE.
Peak positions follow from Bragg's law for the DFT cell and can differ from measured ones.

Top 12 peaks for 2θ = 15–90°, in order of rising 2θ:
2theta  I_rel  h k l
21.04  100  2 0 1
22.93  47  4 0 -1
28.66  50  1 1 1
34.65  93  3 1 -2
37.21  65  5 1 -1
37.50  89  6 0 0
39.26  32  5 1 0
39.78  73  5 1 -2
43.44  45  3 1 -3
44.32  30  1 1 -3
44.79  29  3 1 2
47.92  34  0 2 0

Structural model:
Unit cell a=15.665 b=3.797 c=7.507 alpha=90.00 beta=113.16 gamma=90.00
Space group C2/m (No. 12)
One atom of each set of equivalent atoms:
Na  0.112  0.000  0.377 [4 per cell]
Na  0.236  0.500  0.158 [4 per cell]
Ga  0.000  0.500  0.000 [2 per cell]
Ga  0.073  0.500  0.675 [4 per cell]
Pt  0.081  0.000  0.907 [4 per cell]

---

What is the formula in the third record?
Na4Ga3Pt2

---

Copy entry 2 word for word.
This entry pairs a crystal structure of Sm3Tm2Ag2 with its computed powder XRD pattern. Radiation: CuKα. Structure: a crystal structure in Alexandria, relaxed with GGA-PBE.
Peak positions follow from Bragg's law for the DFT cell and can differ from measured ones.

Top 12 peaks for 2θ = 15–90°, in order of rising 2θ:
2theta  I_rel  h k l
29.18  32  2 0 -3
30.98  68  1 1 -2
31.16  60  2 0 2
31.71  100  3 1 -1
33.18  54  3 1 0
33.67  57  4 0 -3
33.89  34  3 1 -2
35.30  49  1 1 2
38.57  32  1 1 -3
49.00  31  0 2 0
50.86  25  5 1 1
55.78  28  3 1 -5

Structural model:
Unit cell a=13.018 b=3.718 c=9.192 alpha=90.00 beta=115.18 gamma=90.00
Space group C2/m (No. 12)
One atom of each set of equivalent atoms:
Sm  0.000  0.000  0.000 [2 per cell]
Sm  0.109  0.000  0.445 [4 per cell]
Tm  0.147  0.500  0.813 [4 per cell]
Ag  0.179  0.500  0.221 [4 per cell]

---

Number 3 is which compound?
Na4Ga3Pt2